Record 1
MgScS2: simulated powder diffraction line list (Cu Kα (λ = 1.5418 Å)), based on a crystal structure in Alexandria, relaxed with PBE.
Intensities are scaled so that the largest is 100.

Structure:
```
MgScS2
1.0
1.8219 1.0519 6.2106
-1.8219 1.0519 6.2106
0.0000 -2.1038 6.2106
Mg Sc S
1 1 2
Direct
0.0000 0.0000 0.0000
0.5000 0.5000 0.5000
0.2522 0.2522 0.2522
0.7478 0.7478 0.7478
```

Peak list (8 most intense, 2θ = 10–80°, low angle first)
d = 6.211 Å, I 5
d = 3.111 Å, I 4
d = 2.613 Å, I 100
d = 1.874 Å, I 34
d = 1.822 Å, I 31
d = 1.553 Å, I 6
d = 1.494 Å, I 15
d = 1.306 Å, I 10

=====

Record 2
PmNdDyTh: simulated powder diffraction line list (Cu Kα (λ = 1.5418 Å)), based on a crystal structure in Alexandria, relaxed with PBE.
Intensities are scaled so that the largest is 100.

Structure:
```
PmNdDyTh
1.0
3.6074 0.0000 0.0000
0.0000 3.6074 0.0000
0.0000 0.0000 10.2645
Pm Nd Dy Th
1 1 1 1
Direct
0.0000 0.0000 0.0000
0.5000 0.5000 0.2656
0.0000 0.0000 0.5216
0.5000 0.5000 0.7579
```

Peak list (8 most intense, 2θ = 10–80°, low angle first)
d = 2.951 Å, I 100
d = 2.566 Å, I 17
d = 2.551 Å, I 34
d = 1.809 Å, I 24
d = 1.804 Å, I 12
d = 1.546 Å, I 14
d = 1.539 Å, I 29
d = 1.476 Å, I 12

=====

Record 3
CeMnCuGe2: simulated powder diffraction line list (Cu Kα (λ = 1.5418 Å)), based on a crystal structure in Alexandria, relaxed with PBE.
Intensities are scaled so that the largest is 100.

Structure:
```
CeMnCuGe2
1.0
-2.0627 2.0627 5.2988
2.0627 -2.0627 5.2988
2.0627 2.0627 -5.2988
Ce Mn Cu Ge
1 1 1 2
Direct
0.0000 0.0000 0.0000
0.7500 0.2500 0.5000
0.2500 0.7500 0.5000
0.3795 0.3795 0.0000
0.6205 0.6205 0.0000
```

Peak list (8 most intense, 2θ = 10–80°, low angle first)
d = 2.917 Å, I 26
d = 2.683 Å, I 86
d = 2.555 Å, I 100
d = 2.063 Å, I 61
d = 1.885 Å, I 37
d = 1.635 Å, I 38
d = 1.392 Å, I 27
d = 1.267 Å, I 20